The following is a calculated powder X-ray diffraction pattern of Li4Ti3Mn5O16. It was derived from a cell relaxed with GGA+U, using Cu Ka.
Neutral-atom scattering factors, no anomalous dispersion.

Largest 8 diffraction maxima, most intense first, 2θ = 15–90°:
two_theta	d_spacing	I (rel.)
18.27	4.855	100
19.28	4.603	79
36.31	2.474	52
19.73	4.499	51
34.85	2.575	50
62.88	1.478	43
35.89	2.502	35
20.05	4.429	34

Unit cell a=5.9181 b=5.9181 c=9.7215 alpha=92.50 beta=92.50 gamma=60.43
Atoms (fractional coordinates):
Li 0.0000 0.0000 0.0000
Li 0.0069 0.0069 0.5002
Li 0.3116 0.3116 0.1015
Li 0.6520 0.6520 0.6024
Ti 0.1515 0.6518 0.7793
Ti 0.6518 0.1515 0.7793
Ti 0.8199 0.8199 0.2877
Mn 0.1591 0.1591 0.7858
Mn 0.3231 0.3231 0.5069
Mn 0.3260 0.8143 0.2783
Mn 0.6487 0.6487 0.0102
Mn 0.8143 0.3260 0.2783
O 0.0211 0.4826 0.6577
O 0.1507 0.6789 0.3897
O 0.1580 0.1580 0.3862
O 0.3228 0.8162 0.8987
O 0.3251 0.3251 0.8888
O 0.4704 0.4704 0.6620
O 0.4826 0.0211 0.6577
O 0.4950 0.4950 0.1659
O 0.5029 0.9383 0.1582
O 0.6601 0.6601 0.3888
O 0.6789 0.1507 0.3897
O 0.8162 0.3228 0.8987
O 0.8359 0.8359 0.8879
O 0.9383 0.5029 0.1582
O 0.9853 0.9853 0.1845
O 0.9927 0.9927 0.6856